# 1
For TmPa2O6, a structure optimized by DFT (PBE) gives the theoretical PXRD pattern in this record (Cu Kα).
Kinematic intensities with the Lorentz-polarization factor, no thermal factor.

Structural model:
```
data_TmPa2O6
_cell_length_a 3.8569
_cell_length_b 3.8569
_cell_length_c 9.2222
_cell_angle_alpha 90.00
_cell_angle_beta 90.00
_cell_angle_gamma 120.00
_space_group_name_H-M_alt 'P 1'
_space_group_IT_number 1
loop_
_space_group_symop_operation_xyz
'x,y,z'
loop_
_atom_site_label
_atom_site_type_symbol
_atom_site_fract_x
_atom_site_fract_y
_atom_site_fract_z
Tm1 Tm 0.0000 0.0000 0.0000
Pa1 Pa 0.3333 0.6667 0.6743
Pa2 Pa 0.6667 0.3333 0.3257
O1 O 0.0000 0.0000 0.2541
O2 O 0.0000 0.0000 0.7459
O3 O 0.3333 0.6667 0.4146
O4 O 0.3333 0.6667 0.9102
O5 O 0.6667 0.3333 0.0898
O6 O 0.6667 0.3333 0.5854
```

Top 10 peaks for 5° ≤ 2θ ≤ 70°, low angle first:
2theta, d/Å, intensity
28.42, 3.141, 1000
29.05, 3.074, 306
33.12, 2.705, 462
47.13, 1.928, 332
47.94, 1.897, 318
55.95, 1.643, 157
56.32, 1.634, 298
57.04, 1.615, 140
58.81, 1.570, 101
69.50, 1.353, 102

# 2
For Na3B5C, a structure optimized by DFT (PBE) gives the theoretical PXRD pattern in this record (Cu Kα).
Kinematic intensities with the Lorentz-polarization factor, no thermal factor.

Structural model:
```
data_Na3B5C
_cell_length_a 8.6532
_cell_length_b 7.9506
_cell_length_c 7.9506
_cell_angle_alpha 20.96
_cell_angle_beta 90.00
_cell_angle_gamma 90.00
_space_group_name_H-M_alt 'P 1'
_space_group_IT_number 1
loop_
_space_group_symop_operation_xyz
'x,y,z'
loop_
_atom_site_label
_atom_site_type_symbol
_atom_site_fract_x
_atom_site_fract_y
_atom_site_fract_z
Na1 Na 0.2465 0.0000 0.0000
Na2 Na 0.2485 0.6662 0.6662
Na3 Na 0.2501 0.3317 0.3317
Na4 Na 0.7499 0.3317 0.3317
Na5 Na 0.7515 0.6662 0.6662
Na6 Na 0.7535 0.0000 0.0000
B1 B 0.0000 0.1125 0.1125
B2 B 0.0000 0.2199 0.2199
B3 B 0.0000 0.4458 0.4458
B4 B 0.0000 0.5529 0.5529
B5 B 0.0000 0.7786 0.7786
B6 B 0.0000 0.8865 0.8865
B7 B 0.5000 0.1123 0.1123
B8 B 0.5000 0.4583 0.4583
B9 B 0.5000 0.7691 0.7691
B10 B 0.5000 0.8829 0.8829
C1 C 0.5000 0.2164 0.2164
C2 C 0.5000 0.5584 0.5584
```

Top 10 peaks for 5° ≤ 2θ ≤ 70°, low angle first:
2theta, d/Å, intensity
20.53, 4.327, 23
34.41, 2.606, 118
35.50, 2.529, 175
40.41, 2.232, 483
41.35, 2.183, 1000
41.75, 2.163, 363
55.18, 1.665, 61
55.93, 1.644, 98
62.35, 1.489, 176
64.42, 1.446, 82

# 3
For ReH3O, a structure optimized by DFT (PBE) gives the theoretical PXRD pattern in this record (Cu Kα).
Kinematic intensities with the Lorentz-polarization factor, no thermal factor.

Structural model:
```
data_ReH3O
_cell_length_a 3.4195
_cell_length_b 3.4195
_cell_length_c 3.4195
_cell_angle_alpha 90.00
_cell_angle_beta 90.00
_cell_angle_gamma 90.00
_space_group_name_H-M_alt 'P 1'
_space_group_IT_number 1
loop_
_space_group_symop_operation_xyz
'x,y,z'
loop_
_atom_site_label
_atom_site_type_symbol
_atom_site_fract_x
_atom_site_fract_y
_atom_site_fract_z
Re1 Re 0.0000 0.0000 0.0000
H1 H 0.0000 0.0000 0.5000
H2 H 0.0000 0.5000 0.0000
H3 H 0.5000 0.0000 0.0000
O1 O 0.5000 0.5000 0.5000
```

Top 6 peaks for 5° ≤ 2θ ≤ 70°, low angle first:
2theta, d/Å, intensity
26.06, 3.419, 892
37.18, 2.418, 1000
45.97, 1.974, 256
53.60, 1.710, 180
60.55, 1.529, 366
67.04, 1.396, 351